(1)
Calculated powder diffractogram
Compound: Li4V2SiP2O12
Radiation: Cu Ka
Structure: a crystal structure in the Materials Project, relaxed with GGA+U
Neutral-atom scattering factors, no anomalous dispersion.

Top 8 peaks for 10° ≤ 2θ ≤ 90°, low angle first:
| h k l | 2theta | I_rel |
| --- | --- | --- |
| 1 1 1 | 19.91 | 326 |
| 3 1 -1 | 20.91 | 594 |
| 2 2 -1 | 23.66 | 1000 |
| 3 1 0 | 24.07 | 624 |
| 2 2 -2 | 28.69 | 365 |
| 1 1 2 | 30.92 | 256 |
| 4 2 -2 | 32.97 | 198 |
| 1 3 1 | 34.61 | 246 |

Structural model:
```
data_Li4V2SiP2O12
_chemical_formula_sum 'Li16 V8 Si4 P8 O48'
_cell_length_a 14.453
_cell_length_b 9.009
_cell_length_c 8.624
_cell_angle_alpha 90.00
_cell_angle_beta 122.70
_cell_angle_gamma 90.00
_space_group_name_H-M_alt 'C 1 c 1'
_space_group_IT_number 9
loop_
_space_group_symop_operation_xyz
'x,y,z'
'x,-y,z+1/2'
'x+1/2,y+1/2,z'
'x+1/2,-y+1/2,z+1/2'
loop_
_atom_site_label
_atom_site_type_symbol
_atom_site_fract_x
_atom_site_fract_y
_atom_site_fract_z
Li1 Li 0.000 0.021 0.000
Li2 Li 0.003 0.265 0.691
Li3 Li 0.305 0.328 0.885
Li4 Li 0.407 0.035 0.747
V1 V 0.093 0.251 0.461
V2 V 0.317 0.255 0.250
Si1 Si 0.353 0.407 0.637
P1 P 0.054 0.409 0.074
P2 P 0.206 0.038 0.853
O1 O 0.020 0.368 0.212
O2 O 0.034 0.419 0.546
O3 O 0.115 0.135 0.693
O4 O 0.145 0.062 0.411
O5 O 0.169 0.358 0.142
O6 O 0.239 0.341 0.606
O7 O 0.274 0.052 0.297
O8 O 0.290 0.144 0.010
O9 O 0.366 0.410 0.143
O10 O 0.380 0.361 0.482
O11 O 0.442 0.344 0.848
O12 O 0.476 0.158 0.375
```

---

(2)
Calculated powder diffractogram
Compound: Li4V2SiP2O12
Radiation: Cu Ka
Structure: a crystal structure in the Materials Project, relaxed with GGA+U
Neutral-atom scattering factors, no anomalous dispersion.

Top 8 peaks for 10° ≤ 2θ ≤ 90°, low angle first:
| h k l | 2theta | I_rel |
| --- | --- | --- |
| 1 1 1 | 19.72 | 202 |
| 3 1 -1 | 20.98 | 526 |
| 3 1 0 | 23.79 | 1000 |
| 2 2 -2 | 28.94 | 234 |
| 1 1 2 | 30.66 | 225 |
| 4 2 -2 | 33.27 | 193 |
| 1 3 1 | 34.52 | 244 |
| 2 4 2 | 53.89 | 149 |

Structural model:
```
data_Li4V2SiP2O12
_chemical_formula_sum 'Li16 V8 Si4 P8 O48'
_cell_length_a 14.409
_cell_length_b 9.000
_cell_length_c 8.513
_cell_angle_alpha 90.00
_cell_angle_beta 121.22
_cell_angle_gamma 90.00
_space_group_name_H-M_alt 'C 1 c 1'
_space_group_IT_number 9
loop_
_space_group_symop_operation_xyz
'x,y,z'
'x,-y,z+1/2'
'x+1/2,y+1/2,z'
'x+1/2,-y+1/2,z+1/2'
loop_
_atom_site_label
_atom_site_type_symbol
_atom_site_fract_x
_atom_site_fract_y
_atom_site_fract_z
Li1 Li 0.000 0.048 0.000
Li2 Li 0.035 0.236 0.345
Li3 Li 0.077 0.449 0.678
Li4 Li 0.273 0.158 0.594
V1 V 0.175 0.248 0.196
V2 V 0.391 0.252 0.977
Si1 Si 0.135 0.101 0.795
P1 P 0.284 0.454 0.587
P2 P 0.433 0.099 0.385
O1 O 0.020 0.339 0.079
O2 O 0.043 0.168 0.590
O3 O 0.116 0.081 0.281
O4 O 0.119 0.148 0.964
O5 O 0.197 0.351 0.432
O6 O 0.220 0.452 0.149
O7 O 0.249 0.160 0.821
O8 O 0.322 0.148 0.352
O9 O 0.347 0.450 0.024
O10 O 0.370 0.348 0.737
O11 O 0.450 0.146 0.228
O12 O 0.451 0.074 0.902
```